Starting from a cell relaxed with GGA-PBE, the X-ray powder pattern of Ti2Pd3Pt was computed for copper Kα.
No peak broadening, texture or thermal motion is included.

Main lines, in order of falling intensity (15 to 90 degrees two-theta):
two_theta	intensity
43.80	1000
37.90	881
40.39	746
21.50	688
39.78	532
44.17	511
33.42	482
68.61	397
40.18	314
69.86	242

Crystal structure
```
data_Ti2Pd3Pt
_chemical_formula_sum 'Ti8 Pd12 Pt4'
_cell_length_a 8.2689
_cell_length_b 8.2689
_cell_length_c 8.2689
_cell_angle_alpha 120.54
_cell_angle_beta 120.54
_cell_angle_gamma 89.06
_space_group_name_H-M_alt 'P 1'
_space_group_IT_number 1
loop_
_space_group_symop_operation_xyz
'x,y,z'
loop_
_atom_site_label
_atom_site_type_symbol
_atom_site_fract_x
_atom_site_fract_y
_atom_site_fract_z
_atom_site_occupancy
Ti1 Ti 0.2794 0.7193 0.5601 1
Ti2 Ti 0.2807 0.3408 0.5601 1
Ti3 Ti 0.2807 0.7206 0.9399 1
Ti4 Ti 0.3408 0.2807 0.0601 1
Ti5 Ti 0.6592 0.7193 0.9399 1
Ti6 Ti 0.7193 0.2794 0.0601 1
Ti7 Ti 0.7193 0.6592 0.4399 1
Ti8 Ti 0.7206 0.2807 0.4399 1
Pd1 Pd 0.0000 0.5000 0.5000 1
Pd2 Pd 0.0786 0.3286 0.1571 1
Pd3 Pd 0.0786 0.9214 0.7500 1
Pd4 Pd 0.3286 0.0786 0.6571 1
Pd5 Pd 0.3286 0.6714 0.2500 1
Pd6 Pd 0.5000 0.0000 0.0000 1
Pd7 Pd 0.5000 0.5000 0.0000 1
Pd8 Pd 0.5000 0.5000 0.5000 1
Pd9 Pd 0.6714 0.3286 0.7500 1
Pd10 Pd 0.6714 0.9214 0.3429 1
Pd11 Pd 0.9214 0.0786 0.2500 1
Pd12 Pd 0.9214 0.6714 0.8429 1
Pt1 Pt 0.0886 0.3386 0.7500 1
Pt2 Pt 0.3386 0.0886 0.2500 1
Pt3 Pt 0.6614 0.9114 0.7500 1
Pt4 Pt 0.9114 0.6614 0.2500 1
```

---

Starting from a cell relaxed with GGA-PBE, the X-ray powder pattern of TiPd7Pt3 was computed for copper Kα.
No peak broadening, texture or thermal motion is included.

Main lines, in order of falling intensity (15 to 90 degrees two-theta):
two_theta	intensity
39.92	1000
46.52	645
40.23	320
81.78	241
22.78	206
67.70	204
68.12	204
81.58	124
82.18	122
86.13	110

Crystal structure
```
data_TiPd7Pt3
_chemical_formula_sum 'Ti1 Pd7 Pt3'
_cell_length_a 5.5364
_cell_length_b 5.5364
_cell_length_c 6.7249
_cell_angle_alpha 90.00
_cell_angle_beta 90.00
_cell_angle_gamma 120.00
_space_group_name_H-M_alt 'P 1'
_space_group_IT_number 1
loop_
_space_group_symop_operation_xyz
'x,y,z'
loop_
_atom_site_label
_atom_site_type_symbol
_atom_site_fract_x
_atom_site_fract_y
_atom_site_fract_z
_atom_site_occupancy
Ti1 Ti 0.0000 0.0000 0.0000 1
Pd1 Pd 0.3331 0.1666 0.6636 1
Pd2 Pd 0.3333 0.6667 0.6625 1
Pd3 Pd 0.5022 0.0045 0.0003 1
Pd4 Pd 0.5022 0.4978 0.0003 1
Pd5 Pd 0.8334 0.1666 0.6636 1
Pd6 Pd 0.8334 0.6669 0.6636 1
Pd7 Pd 0.9955 0.4978 0.0003 1
Pt1 Pt 0.1655 0.3310 0.3256 1
Pt2 Pt 0.1655 0.8345 0.3256 1
Pt3 Pt 0.6690 0.8345 0.3256 1
```